No. 1
For ScZnSi, a DFT-relaxed cell (GGA-PBE, Alexandria) gives the calculated powder diffraction line list in this record (Cu Kα (λ = 1.5418 Å)).

Peak list (12 most intense, 10° ≤ 2θ ≤ 80°, low angle first)
d_spacing	Rel. int.
7.083	12.3
3.741	45.7
2.997	15.4
2.743	12.0
2.558	100.0
2.288	70.3
1.940	48.0
1.794	34.1
1.479	32.5
1.371	14.4
1.317	22.9
1.209	16.0

Atomic structure:
```
data_ScZnSi
_space_group_name_H-M_alt 'P 1'
_space_group_IT_number 1
_space_group_name_Hall 'P 1'
_cell_length_a 7.596
_cell_length_b 7.596
_cell_length_c 7.596
_cell_angle_alpha 150.41
_cell_angle_beta 150.41
_cell_angle_gamma 42.34
loop_
_atom_site_label
_atom_site_type_symbol
_atom_site_fract_x
_atom_site_fract_y
_atom_site_fract_z
_atom_site_occupancy
Sc1 Sc 0.000 0.000 0.000 1
Sc2 Sc 0.750 0.250 0.500 1
Zn1 Zn 0.167 0.667 0.500 1
Zn2 Zn 0.333 0.833 0.500 1
Si1 Si 0.419 0.419 0.000 1
Si2 Si 0.581 0.581 0.000 1
```

***

No. 2
For Sc4Zn3Si, a DFT-relaxed cell (GGA-PBE, Alexandria) gives the calculated powder diffraction line list in this record (Cu Kα (λ = 1.5418 Å)).

Peak list (12 most intense, 10° ≤ 2θ ≤ 80°, low angle first)
d_spacing	Rel. int.
7.690	4.5
4.006	1.3
3.838	2.3
3.324	2.7
2.561	3.5
2.350	100.0
2.246	1.5
1.731	1.1
1.662	15.7
1.359	6.7
1.356	23.0
1.287	2.0

Atomic structure:
```
data_Sc4Zn3Si
_space_group_name_H-M_alt 'P 1'
_space_group_IT_number 1
_space_group_name_Hall 'P 1'
_cell_length_a 8.154
_cell_length_b 8.154
_cell_length_c 8.154
_cell_angle_alpha 33.48
_cell_angle_beta 33.48
_cell_angle_gamma 33.48
loop_
_atom_site_label
_atom_site_type_symbol
_atom_site_fract_x
_atom_site_fract_y
_atom_site_fract_z
_atom_site_occupancy
Sc1 Sc 0.122 0.122 0.122 1
Sc2 Sc 0.373 0.373 0.373 1
Sc3 Sc 0.627 0.627 0.627 1
Sc4 Sc 0.878 0.878 0.878 1
Zn1 Zn 0.244 0.244 0.244 1
Zn2 Zn 0.500 0.500 0.500 1
Zn3 Zn 0.756 0.756 0.756 1
Si1 Si 0.000 0.000 0.000 1
```

***

No. 3
For ZrSc3Si, a DFT-relaxed cell (GGA-PBE, Alexandria) gives the calculated powder diffraction line list in this record (Cu Kα (λ = 1.5418 Å)).

Peak list (12 most intense, 10° ≤ 2θ ≤ 80°, low angle first)
d_spacing	Rel. int.
5.026	2.0
3.554	38.6
2.902	100.0
2.513	82.1
2.248	1.5
2.052	16.4
1.777	54.1
1.589	7.4
1.515	36.9
1.451	17.7
1.343	8.5
1.257	8.0

Atomic structure:
```
data_ZrSc3Si
_space_group_name_H-M_alt 'P 1'
_space_group_IT_number 1
_space_group_name_Hall 'P 1'
_cell_length_a 5.026
_cell_length_b 5.026
_cell_length_c 5.026
_cell_angle_alpha 90.00
_cell_angle_beta 90.00
_cell_angle_gamma 90.00
loop_
_atom_site_label
_atom_site_type_symbol
_atom_site_fract_x
_atom_site_fract_y
_atom_site_fract_z
_atom_site_occupancy
Zr1 Zr 0.000 0.000 0.000 1
Sc1 Sc 0.000 0.500 0.500 1
Sc2 Sc 0.500 0.000 0.500 1
Sc3 Sc 0.500 0.500 0.000 1
Si1 Si 0.500 0.500 0.500 1
```

***

No. 4
For Sm7Sc, a DFT-relaxed cell (GGA-PBE, Alexandria) gives the calculated powder diffraction line list in this record (Cu Kα (λ = 1.5418 Å)).

Peak list (12 most intense, 10° ≤ 2θ ≤ 80°, low angle first)
d_spacing	Rel. int.
3.364	17.9
2.911	63.4
2.833	100.0
2.808	48.7
2.745	40.6
2.567	18.3
2.349	19.4
1.963	29.2
1.640	31.5
1.626	17.5
1.588	20.8
1.497	30.6

Atomic structure:
```
data_Sm7Sc
_space_group_name_H-M_alt 'P 1'
_space_group_IT_number 1
_space_group_name_Hall 'P 1'
_cell_length_a 8.815
_cell_length_b 8.815
_cell_length_c 8.815
_cell_angle_alpha 156.93
_cell_angle_beta 100.86
_cell_angle_gamma 83.78
loop_
_atom_site_label
_atom_site_type_symbol
_atom_site_fract_x
_atom_site_fract_y
_atom_site_fract_z
_atom_site_occupancy
Sm1 Sm 0.000 0.000 0.000 1
Sm2 Sm 0.110 0.371 0.739 1
Sm3 Sm 0.261 0.261 0.000 1
Sm4 Sm 0.368 0.629 0.739 1
Sm5 Sm 0.632 0.371 0.261 1
Sm6 Sm 0.739 0.739 0.000 1
Sm7 Sm 0.890 0.629 0.261 1
Sc1 Sc 0.500 0.000 0.500 1
```

***

No. 5
For SmSc5, a DFT-relaxed cell (GGA-PBE, Alexandria) gives the calculated powder diffraction line list in this record (Cu Kα (λ = 1.5418 Å)).

Peak list (12 most intense, 10° ≤ 2θ ≤ 80°, low angle first)
d_spacing	Rel. int.
5.424	20.7
4.963	16.1
4.751	30.3
4.240	24.3
3.662	17.3
2.709	100.0
2.704	99.4
2.344	97.8
1.659	31.7
1.655	31.5
1.415	18.1
1.413	53.9

Atomic structure:
```
data_SmSc5
_space_group_name_H-M_alt 'P 1'
_space_group_IT_number 1
_space_group_name_Hall 'P 1'
_cell_length_a 5.738
_cell_length_b 9.927
_cell_length_c 5.751
_cell_angle_alpha 90.00
_cell_angle_beta 109.43
_cell_angle_gamma 90.00
loop_
_atom_site_label
_atom_site_type_symbol
_atom_site_fract_x
_atom_site_fract_y
_atom_site_fract_z
_atom_site_occupancy
Sm1 Sm 0.249 0.250 0.000 1
Sm2 Sm 0.751 0.750 0.000 1
Sc1 Sc 0.250 0.081 0.500 1
Sc2 Sc 0.250 0.419 0.500 1
Sc3 Sc 0.250 0.583 0.000 1
Sc4 Sc 0.250 0.750 0.500 1
Sc5 Sc 0.250 0.917 0.000 1
Sc6 Sc 0.750 0.083 0.000 1
Sc7 Sc 0.750 0.250 0.500 1
Sc8 Sc 0.750 0.417 0.000 1
Sc9 Sc 0.750 0.581 0.500 1
Sc10 Sc 0.750 0.919 0.500 1
```

***

No. 6
For SmSc7, a DFT-relaxed cell (GGA-PBE, Alexandria) gives the calculated powder diffraction line list in this record (Cu Kα (λ = 1.5418 Å)).

Peak list (12 most intense, 10° ≤ 2θ ≤ 80°, low angle first)
d_spacing	Rel. int.
7.850	49.4
3.925	21.4
3.302	20.7
2.776	41.9
2.695	100.0
2.613	99.7
2.574	44.7
2.546	53.6
2.207	24.1
1.810	32.8
1.468	23.6
1.388	24.8

Atomic structure:
```
data_SmSc7
_space_group_name_H-M_alt 'P 1'
_space_group_IT_number 1
_space_group_name_Hall 'P 1'
_cell_length_a 8.123
_cell_length_b 8.123
_cell_length_c 8.123
_cell_angle_alpha 156.73
_cell_angle_beta 101.36
_cell_angle_gamma 83.37
loop_
_atom_site_label
_atom_site_type_symbol
_atom_site_fract_x
_atom_site_fract_y
_atom_site_fract_z
_atom_site_occupancy
Sm1 Sm 0.000 0.000 0.000 1
Sc1 Sc 0.136 0.366 0.771 1
Sc2 Sc 0.247 0.747 0.500 1
Sc3 Sc 0.405 0.634 0.771 1
Sc4 Sc 0.500 0.000 0.500 1
Sc5 Sc 0.595 0.366 0.229 1
Sc6 Sc 0.753 0.253 0.500 1
Sc7 Sc 0.864 0.634 0.229 1
```